# 1
Diffraction record for Rb2In3Pb4. The powder XRD pattern is simulated, not measured: it uses a structure optimized by DFT (GGA-PBE) and Cu Kα X-rays.

Structure:
abc: 6.2101 11.4640 17.1525
angles: 90.00 90.00 90.00
Space group Fmmm (No. 69)
Unique sites:
Rb 0.0000 0.0000 0.1263 x8
In 0.0000 0.0000 0.5000 x4
In 0.2500 0.2500 0.0000 x8
Pb 0.0000 0.1718 0.3283 x16

Largest 10 diffraction maxima, by angle, 10° ≤ 2θ ≤ 90°:
d (Å), I (rel.)
5.732, 19
3.197, 19
3.105, 22
2.920, 16
2.905, 22
2.859, 32
2.828, 100
2.602, 26
1.734, 24
1.414, 17

=====

# 2
Diffraction record for RbInPb. The powder XRD pattern is simulated, not measured: it uses a structure optimized by DFT (GGA-PBE) and Cu Kα X-rays.

Structure:
abc: 5.4216 6.8903 6.9360
angles: 83.34 67.00 66.83
Space group P-1 (No. 2)
Unique sites:
Rb 0.0755 0.1772 0.1717 x2
In 0.3480 0.2307 0.5742 x2
Pb 0.3364 0.5799 0.2464 x2

Largest 10 diffraction maxima, by angle, 10° ≤ 2θ ≤ 90°:
d (Å), I (rel.)
6.328, 55
4.610, 43
3.250, 88
3.207, 100
3.192, 64
2.900, 58
2.886, 50
2.711, 79
2.578, 90
1.980, 44

=====

# 3
Diffraction record for RbIn12Pb7. The powder XRD pattern is simulated, not measured: it uses a structure optimized by DFT (GGA-PBE) and Cu Kα X-rays.

Structure:
abc: 11.4420 11.4420 11.4420
angles: 90.00 90.00 90.00
Space group Im-3 (No. 204)
Unique sites:
Rb 0.0000 0.0000 0.0000 x2
In 0.0000 0.3582 0.2466 x24
Pb 0.0000 0.0000 0.5000 x6
Pb 0.2500 0.2500 0.2500 x8

Largest 10 diffraction maxima, by angle, 10° ≤ 2θ ≤ 90°:
d (Å), I (rel.)
8.091, 43
4.045, 59
3.058, 17
2.860, 47
2.559, 29
2.336, 100
1.809, 16
1.529, 56
1.279, 14
1.220, 13

=====

# 4
Diffraction record for RbIn2Sb2Pb. The powder XRD pattern is simulated, not measured: it uses a structure optimized by DFT (GGA-PBE) and Cu Kα X-rays.

Structure:
abc: 5.4236 5.4236 8.1186
angles: 90.00 90.00 120.00
Space group P-3m1 (No. 164)
Unique sites:
Rb 0.0000 0.0000 0.0000 x1
In 0.3333 0.6667 0.6660 x2
Sb 0.3333 0.6667 0.2915 x2
Pb 0.0000 0.0000 0.5000 x1

Largest 10 diffraction maxima, by angle, 10° ≤ 2θ ≤ 90°:
d (Å), I (rel.)
8.119, 62
3.071, 96
2.712, 100
2.572, 25
2.345, 27
2.033, 32
1.626, 35
1.566, 18
1.356, 14
1.240, 15

=====

# 5
Diffraction record for Rb2InPbSe4. The powder XRD pattern is simulated, not measured: it uses a structure optimized by DFT (GGA-PBE) and Cu Kα X-rays.

Structure:
abc: 8.5026 8.5026 7.3108
angles: 90.00 90.00 90.00
Space group I-42m (No. 121)
Unique sites:
Rb 0.0000 0.5000 0.0000 x4
In 0.0000 0.0000 0.0000 x2
Pb 0.0000 0.0000 0.5000 x2
Se 0.1717 0.1717 0.7712 x8

Largest 10 diffraction maxima, by angle, 10° ≤ 2θ ≤ 90°:
d (Å), I (rel.)
6.012, 34
4.251, 33
3.373, 48
3.006, 49
2.772, 100
2.322, 23
2.166, 19
1.901, 24
1.838, 25
1.687, 19

=====

# 6
Diffraction record for Rb2InSn2Pb6. The powder XRD pattern is simulated, not measured: it uses a structure optimized by DFT (GGA-PBE) and Cu Kα X-rays.

Structure:
abc: 8.4839 8.4839 21.8669
angles: 90.00 90.00 120.00
Space group R-3m (No. 166, hexagonal axes)
Unique sites:
Rb 0.0000 0.0000 0.2258 x6
In 0.0000 0.0000 0.5000 x3
Sn 0.0000 0.0000 0.0672 x6
Pb 0.0698 0.5349 0.2908 x18

Largest 10 diffraction maxima, by angle, 10° ≤ 2θ ≤ 90°:
d (Å), I (rel.)
7.289, 100
6.098, 38
3.482, 64
3.049, 40
2.875, 66
2.813, 71
2.755, 72
2.692, 52
2.322, 49
2.033, 46

=====

# 7
Diffraction record for InRh2Pb. The powder XRD pattern is simulated, not measured: it uses a structure optimized by DFT (GGA-PBE) and Cu Kα X-rays.

Structure:
abc: 4.4371 3.3336 5.5361
angles: 90.00 110.93 90.00
Space group P2/m (No. 10)
Unique sites:
In 0.0000 0.0000 0.0000 x1
Rh 0.0000 0.0000 0.5000 x1
Rh 0.5000 0.5000 0.0000 x1
Pb 0.5000 0.5000 0.5000 x1

Largest 10 diffraction maxima, by angle, 10° ≤ 2θ ≤ 90°:
d (Å), I (rel.)
2.598, 100
2.585, 49
2.080, 52
2.072, 26
2.003, 23
1.667, 13
1.656, 26
1.401, 15
1.332, 19
1.277, 21

=====

# 8
Diffraction record for In2PbS3. The powder XRD pattern is simulated, not measured: it uses a structure optimized by DFT (GGA-PBE) and Cu Kα X-rays.

Structure:
abc: 6.6829 4.1286 12.4390
angles: 90.00 94.94 90.00
Space group P2_1/m (No. 11)
Unique sites:
In 0.0354 0.2500 0.3666 x2
In 0.0943 0.2500 0.1126 x2
Pb 0.4309 0.2500 0.6624 x2
S 0.1267 0.2500 0.9025 x2
S 0.2464 0.7500 0.4685 x2
S 0.4377 0.2500 0.1986 x2

Largest 10 diffraction maxima, by angle, 10° ≤ 2θ ≤ 90°:
d (Å), I (rel.)
4.744, 38
3.509, 28
3.436, 27
3.417, 37
3.335, 100
3.098, 36
2.996, 48
2.376, 48
2.064, 29
1.955, 40